[1]
This entry pairs a crystal structure of Sr2Fe2O5 with its calculated powder diffraction line list. Radiation: λ = 1.5418 Å (Cu Kα). Structure: a GGA+U-relaxed structure.
Lines closer than 0.1° are merged.

Top 12 peaks for 15 to 90 degrees two-theta, in order of rising 2θ:
d [Å]  I/Imax  index
2.851  70.3  2 0 0
2.829  100.0  0 4 1
2.817  68.9  2 0 -2
2.801  78.0  2 4 -1
2.196  23.7  2 6 -1
2.025  36.9  0 0 2
1.984  27.7  4 0 -2
1.977  27.2  0 8 0
1.648  18.8  2 4 1
1.634  15.5  2 4 -3
1.618  22.5  2 8 -2
1.472  16.9  4 6 -3

```
data_Sr2Fe2O5
_cell_length_a 7.937
_cell_length_b 15.819
_cell_length_c 5.636
_cell_angle_alpha 90.00
_cell_angle_beta 134.07
_cell_angle_gamma 90.00
_symmetry_space_group_name_H-M 'C 1 2/m 1'
_symmetry_Int_Tables_number 12
_symmetry_space_group_name_Hall '-C 2y'
loop_
_atom_site_label
_atom_site_fract_x
_atom_site_fract_y
_atom_site_fract_z
Sr1 0.231 0.143 0.465
Fe1 0.186 0.500 0.012
Fe2 0.250 0.250 0.000
O1 0.000 0.254 0.500
O2 0.000 0.259 0.000
O3 0.155 0.500 0.331
O4 0.213 0.109 0.976
```

***

[2]
This entry pairs a crystal structure of Sr3Fe2O5 with its calculated powder diffraction line list. Radiation: λ = 1.5418 Å (Cu Kα). Structure: a GGA+U-relaxed structure.
Lines closer than 0.1° are merged.

Top 12 peaks for 15 to 90 degrees two-theta, in order of rising 2θ:
d [Å]  I/Imax  index
2.919  65.2  0 1 5
2.714  82.0  1 0 5
2.654  100.0  1 1 0
2.122  44.3  0 0 10
2.011  28.2  0 2 0
1.766  20.3  2 0 0
1.657  34.2  1 1 10
1.616  33.1  1 2 5
1.511  19.5  2 1 5
1.460  14.5  0 2 10
1.327  14.6  2 2 0
1.125  11.9  2 2 10

```
data_Sr3Fe2O5
_cell_length_a 3.532
_cell_length_b 4.022
_cell_length_c 21.214
_cell_angle_alpha 90.00
_cell_angle_beta 90.00
_cell_angle_gamma 90.00
_symmetry_space_group_name_H-M 'I m m m'
_symmetry_Int_Tables_number 71
_symmetry_space_group_name_Hall '-I 2 2'
loop_
_atom_site_label
_atom_site_fract_x
_atom_site_fract_y
_atom_site_fract_z
Sr1 0.000 0.000 0.000
Sr2 0.000 0.000 0.188
Fe1 0.000 0.000 0.403
O1 0.000 0.000 0.307
O2 0.000 0.000 0.500
O3 0.000 0.500 0.404
```